Diffraction record for NpSi2Pt7Pb2. The powder X-ray diffraction pattern is computed, not measured: it uses a PBE-relaxed structure and λ = 1.5418 Å (Cu Kα).

Crystal structure
```
data_NpSi2Pt7Pb2
_cell_length_a 3.9823
_cell_length_b 3.9823
_cell_length_c 30.8496
_cell_angle_alpha 90.00
_cell_angle_beta 90.00
_cell_angle_gamma 90.00
_symmetry_space_group_name_H-M 'I 4/m m m'
_symmetry_Int_Tables_number 139
_symmetry_space_group_name_Hall '-I 4 2'
loop_
_atom_site_label
_atom_site_fract_x
_atom_site_fract_y
_atom_site_fract_z
_atom_site_occupancy
Np1 0.0000 0.0000 0.0000 1
Si1 0.0000 0.0000 0.3818 1
Pt1 0.0000 0.0000 0.3071 1
Pt2 0.0000 0.0000 0.5000 1
Pt3 0.0000 0.5000 0.0734 1
Pb1 0.0000 0.0000 0.2102 1
```

Principal peaks in the range 10° ≤ 2θ ≤ 90°, low angle first:
- 2θ = 11.47°, intensity 39
- 2θ = 23.06°, intensity 24
- 2θ = 28.94°, intensity 29
- 2θ = 32.32°, intensity 38
- 2θ = 33.89°, intensity 51
- 2θ = 36.38°, intensity 100
- 2θ = 43.51°, intensity 52
- 2θ = 45.56°, intensity 66
- 2θ = 62.91°, intensity 25
- 2θ = 78.14°, intensity 23